Diffraction record for Al13Cu3Se24. The XRD peak list is theoretical, not measured: it uses a crystal structure in the Materials Project, relaxed with GGA-PBE and Cu Kα.
Intensities are scaled so that the largest is 100.

Cell and atoms:
Unit cell a=7.425 b=7.425 c=18.318 alpha=90.30 beta=90.30 gamma=60.50
Fractional coordinates of all 40 atoms:
1 Al 0.000 0.000 0.000
2 Al 0.002 0.002 0.389
3 Al 0.005 0.497 0.885
4 Al 0.161 0.677 0.549
5 Al 0.330 0.330 0.718
6 Al 0.336 0.336 0.344
7 Al 0.346 0.826 0.213
8 Al 0.497 0.005 0.885
9 Al 0.497 0.497 0.885
10 Al 0.674 0.674 0.675
11 Al 0.677 0.161 0.549
12 Al 0.826 0.346 0.213
13 Al 0.826 0.826 0.212
14 Cu 0.332 0.332 0.095
15 Cu 0.662 0.662 0.426
16 Cu 0.999 0.999 0.756
17 Se 0.000 0.000 0.140
18 Se 0.021 0.487 0.630
19 Se 0.153 0.691 0.296
20 Se 0.155 0.155 0.297
21 Se 0.175 0.175 0.803
22 Se 0.177 0.647 0.802
23 Se 0.316 0.842 0.469
24 Se 0.332 0.332 0.474
25 Se 0.333 0.333 0.961
26 Se 0.356 0.822 0.965
27 Se 0.487 0.021 0.630
28 Se 0.490 0.490 0.630
29 Se 0.509 0.980 0.134
30 Se 0.510 0.510 0.134
31 Se 0.647 0.177 0.802
32 Se 0.666 0.666 0.808
33 Se 0.667 0.667 0.293
34 Se 0.691 0.153 0.296
35 Se 0.821 0.821 0.964
36 Se 0.822 0.356 0.965
37 Se 0.841 0.841 0.468
38 Se 0.842 0.316 0.469
39 Se 0.980 0.509 0.134
40 Se 0.998 0.998 0.627

Peak list (6 most intense, 2θ from 10° to 80°, low angle first)
| d (Å) | 2theta | I (rel.) |
| --- | --- | --- |
| 3.051 | 29.27 | 100 |
| 3.021 | 29.57 | 33 |
| 2.636 | 34.01 | 88 |
| 1.871 | 48.67 | 52 |
| 1.857 | 49.06 | 51 |
| 1.590 | 57.99 | 26 |

Diffraction record for H8PdS8N2O26. The XRD peak list is theoretical, not measured: it uses a crystal structure in the Materials Project, relaxed with GGA-PBE and Cu Kα.
Intensities are scaled so that the largest is 100.

Cell and atoms:
Unit cell a=7.743 b=9.005 c=9.636 alpha=108.46 beta=90.10 gamma=105.86
Fractional coordinates of all 45 atoms:
1 H 0.010 0.182 0.364
2 H 0.123 0.382 0.413
3 H 0.202 0.257 0.477
4 H 0.209 0.243 0.299
5 H 0.791 0.757 0.701
6 H 0.798 0.743 0.523
7 H 0.877 0.618 0.587
8 H 0.990 0.818 0.636
9 Pd 0.500 0.500 0.000
10 S 0.120 0.806 0.019
11 S 0.210 0.772 0.301
12 S 0.331 0.643 0.796
13 S 0.394 0.159 0.725
14 S 0.606 0.841 0.275
15 S 0.669 0.357 0.204
16 S 0.790 0.228 0.699
17 S 0.880 0.194 0.981
18 N 0.136 0.266 0.389
19 N 0.864 0.734 0.611
20 O 0.037 0.295 0.078
21 O 0.097 0.869 0.371
22 O 0.136 0.969 0.111
23 O 0.147 0.696 0.123
24 O 0.189 0.595 0.681
25 O 0.220 0.632 0.336
26 O 0.275 0.998 0.702
27 O 0.296 0.813 0.936
28 O 0.304 0.518 0.872
29 O 0.378 0.246 0.626
30 O 0.402 0.896 0.311
31 O 0.430 0.256 0.885
32 O 0.487 0.285 0.226
33 O 0.513 0.715 0.774
34 O 0.570 0.744 0.115
35 O 0.598 0.104 0.689
36 O 0.622 0.754 0.374
37 O 0.696 0.482 0.128
38 O 0.704 0.187 0.064
39 O 0.725 0.002 0.298
40 O 0.780 0.368 0.664
41 O 0.811 0.405 0.319
42 O 0.853 0.304 0.877
43 O 0.864 0.031 0.889
44 O 0.903 0.131 0.629
45 O 0.963 0.705 0.922

Peak list (6 most intense, 2θ from 10° to 80°, low angle first)
| d (Å) | 2theta | I (rel.) |
| --- | --- | --- |
| 7.417 | 11.93 | 97 |
| 4.831 | 18.36 | 100 |
| 3.590 | 24.80 | 46 |
| 3.555 | 25.05 | 48 |
| 3.452 | 25.81 | 29 |
| 2.849 | 31.39 | 26 |